(1)
The following is a computed XRD peak list of NaLi2Ru6O12. It was derived from the GGA-PBE geometry in Alexandria, using Cu Kα (weighted mean of Kα1 and Kα2).
Peak positions follow from Bragg's law for the DFT cell and can differ from measured ones.

Cell and atoms:
abc: 5.6154 9.4968 9.8613
angles: 118.63 105.84 90.76
Element x y z (fractional)
Na 0.2449 0.0171 0.4932
Na 0.7551 0.9829 0.5068
Li 0.0518 0.6632 0.8305
Li 0.4589 0.3356 0.1667
Li 0.5411 0.6644 0.8333
Li 0.9482 0.3368 0.1695
Ru 0.0687 0.9757 0.8404
Ru 0.1408 0.6378 0.4811
Ru 0.1740 0.6647 0.1417
Ru 0.2815 0.3443 0.8610
Ru 0.4056 0.3562 0.5202
Ru 0.4768 0.0146 0.1604
Ru 0.5232 0.9854 0.8396
Ru 0.5944 0.6438 0.4798
Ru 0.7185 0.6557 0.1390
Ru 0.8260 0.3353 0.8583
Ru 0.8592 0.3622 0.5189
Ru 0.9313 0.0243 0.1596
O 0.0411 0.7251 0.3264
O 0.0703 0.2043 0.4019
O 0.1424 0.4132 0.0518
O 0.1804 0.1200 0.0939
O 0.1910 0.5260 0.6251
O 0.2150 0.9023 0.1973
O 0.2549 0.1016 0.7751
O 0.3139 0.4487 0.3627
O 0.3352 0.8571 0.9061
O 0.3638 0.5988 0.9741
O 0.4233 0.8288 0.5977
O 0.4793 0.2984 0.7028
O 0.5207 0.7016 0.2972
O 0.5767 0.1712 0.4023
O 0.6362 0.4012 0.0259
O 0.6648 0.1429 0.0939
O 0.6861 0.5513 0.6373
O 0.7451 0.8984 0.2249
O 0.7850 0.0977 0.8027
O 0.8091 0.4740 0.3749
O 0.8196 0.8800 0.9061
O 0.8576 0.5868 0.9482
O 0.9297 0.7957 0.5981
O 0.9589 0.2749 0.6736

Largest 6 diffraction maxima, sorted by position, 10 to 90 degrees two-theta:
18.71 deg, rel. 100
32.70 deg, rel. 88
37.00 deg, rel. 28
37.21 deg, rel. 15
37.43 deg, rel. 29
50.69 deg, rel. 15

(2)
The following is a computed XRD peak list of SmNpP2O8. It was derived from the GGA-PBE geometry in Alexandria, using Cu Kα (weighted mean of Kα1 and Kα2).
Peak positions follow from Bragg's law for the DFT cell and can differ from measured ones.

Cell and atoms:
abc: 5.3116 5.3116 7.2630
angles: 90.00 90.00 120.00
Element x y z (fractional)
Sm 0.0000 0.0000 0.0000
Np 0.0000 0.0000 0.5000
P 0.3333 0.6667 0.3026
P 0.6667 0.3333 0.6974
O 0.1746 0.3492 0.2283
O 0.1746 0.8254 0.2283
O 0.3333 0.6667 0.5130
O 0.3492 0.1746 0.7717
O 0.6508 0.8254 0.2283
O 0.6667 0.3333 0.4870
O 0.8254 0.1746 0.7717
O 0.8254 0.6508 0.7717

Largest 6 diffraction maxima, sorted by position, 10 to 90 degrees two-theta:
19.30 deg, rel. 100
31.38 deg, rel. 75
33.75 deg, rel. 43
42.16 deg, rel. 40
46.75 deg, rel. 34
58.89 deg, rel. 25

(3)
The following is a computed XRD peak list of Ti2Ni3Ir. It was derived from the GGA-PBE geometry in Alexandria, using Cu Kα (weighted mean of Kα1 and Kα2).
Peak positions follow from Bragg's law for the DFT cell and can differ from measured ones.

Cell and atoms:
abc: 7.7655 7.7655 7.7655
angles: 117.60 117.60 94.22
Element x y z (fractional)
Ti 0.2674 0.3283 0.5609
Ti 0.2674 0.7065 0.9391
Ti 0.2935 0.7326 0.5609
Ti 0.3283 0.2674 0.0609
Ti 0.6717 0.7326 0.9391
Ti 0.7065 0.2674 0.4391
Ti 0.7326 0.2935 0.0609
Ti 0.7326 0.6717 0.4391
Ni 0.0000 0.5000 0.5000
Ni 0.1032 0.3532 0.2063
Ni 0.1032 0.8968 0.7500
Ni 0.3532 0.1032 0.7063
Ni 0.3532 0.6468 0.2500
Ni 0.5000 0.0000 0.0000
Ni 0.5000 0.5000 0.0000
Ni 0.5000 0.5000 0.5000
Ni 0.6468 0.3532 0.7500
Ni 0.6468 0.8968 0.2937
Ni 0.8968 0.1032 0.2500
Ni 0.8968 0.6468 0.7937
Ir 0.0728 0.3228 0.7500
Ir 0.3228 0.0728 0.2500
Ir 0.6772 0.9272 0.7500
Ir 0.9272 0.6772 0.2500

Largest 6 diffraction maxima, sorted by position, 10 to 90 degrees two-theta:
22.97 deg, rel. 100
35.66 deg, rel. 56
39.30 deg, rel. 69
41.35 deg, rel. 55
45.07 deg, rel. 75
46.93 deg, rel. 66

(4)
The following is a computed XRD peak list of Dy2Y8Th3. It was derived from the GGA-PBE geometry in Alexandria, using Cu Kα (weighted mean of Kα1 and Kα2).
Peak positions follow from Bragg's law for the DFT cell and can differ from measured ones.

Cell and atoms:
abc: 10.7271 10.7271 5.6057
angles: 90.08 90.08 43.16
Element x y z (fractional)
Dy 0.2386 0.2386 0.4980
Dy 0.7614 0.7614 0.5020
Y 0.1286 0.1286 0.9991
Y 0.1890 0.5975 0.4995
Y 0.3280 0.3280 0.9985
Y 0.4025 0.8110 0.5005
Y 0.5975 0.1890 0.4995
Y 0.6720 0.6720 0.0015
Y 0.8110 0.4025 0.5005
Y 0.8714 0.8714 0.0009
Th 0.0000 0.0000 0.5000
Th 0.2971 0.7029 0.0000
Th 0.7029 0.2971 0.0000

Largest 6 diffraction maxima, sorted by position, 10 to 90 degrees two-theta:
24.26 deg, rel. 23
29.72 deg, rel. 41
31.28 deg, rel. 26
31.93 deg, rel. 40
33.07 deg, rel. 100
57.63 deg, rel. 20

(5)
The following is a computed XRD peak list of Pm2Dy5In. It was derived from the GGA-PBE geometry in Alexandria, using Cu Kα (weighted mean of Kα1 and Kα2).
Peak positions follow from Bragg's law for the DFT cell and can differ from measured ones.

Cell and atoms:
abc: 11.2643 7.1283 8.3168
angles: 90.00 132.29 90.00
Element x y z (fractional)
Pm 0.0000 0.0000 0.0000
Pm 0.1107 0.0000 0.6844
Pm 0.5000 0.5000 0.0000
Pm 0.6107 0.5000 0.6844
Dy 0.0741 0.5000 0.6831
Dy 0.2564 0.2622 0.5141
Dy 0.2564 0.7378 0.5141
Dy 0.3375 0.2494 0.1746
Dy 0.3375 0.7506 0.1746
Dy 0.5741 0.0000 0.6831
Dy 0.7564 0.2378 0.5141
Dy 0.7564 0.7622 0.5141
Dy 0.8375 0.2506 0.1746
Dy 0.8375 0.7494 0.1746
In 0.0169 0.5000 0.0307
In 0.5169 0.0000 0.0307

Largest 6 diffraction maxima, sorted by position, 10 to 90 degrees two-theta:
28.98 deg, rel. 29
31.78 deg, rel. 29
33.11 deg, rel. 100
33.27 deg, rel. 19
51.41 deg, rel. 15
61.57 deg, rel. 17

(6)
The following is a computed XRD peak list of PmCo2SiN. It was derived from the GGA-PBE geometry in Alexandria, using Cu Kα (weighted mean of Kα1 and Kα2).
Peak positions follow from Bragg's law for the DFT cell and can differ from measured ones.

Cell and atoms:
abc: 5.7140 5.7140 6.7950
angles: 90.00 90.00 142.68
Element x y z (fractional)
Pm 0.0457 0.9543 0.7500
Pm 0.9543 0.0457 0.2500
Co 0.3353 0.6647 0.5553
Co 0.3353 0.6647 0.9447
Co 0.6647 0.3353 0.0553
Co 0.6647 0.3353 0.4447
Si 0.2286 0.7714 0.2500
Si 0.7714 0.2286 0.7500
N 0.5000 0.5000 0.0000
N 0.5000 0.5000 0.5000

Largest 6 diffraction maxima, sorted by position, 10 to 90 degrees two-theta:
31.08 deg, rel. 30
34.93 deg, rel. 53
35.71 deg, rel. 44
37.06 deg, rel. 100
37.43 deg, rel. 44
49.88 deg, rel. 24